[1]
Simulated powder XRD pattern of Dy7SI12 for Cu Kα, from the PBE geometry in Alexandria.

Crystal structure
a b c (Å): 9.633 9.633 9.633
angles (deg): 108.01 108.01 108.01
Fractional coordinates of all 20 atoms:
Dy (0.000, 0.000, 0.000)
Dy (0.200, 0.465, 0.397)
Dy (0.397, 0.200, 0.465)
Dy (0.465, 0.397, 0.200)
Dy (0.535, 0.603, 0.800)
Dy (0.603, 0.800, 0.535)
Dy (0.800, 0.535, 0.603)
S (0.500, 0.500, 0.500)
I (0.032, 0.112, 0.348)
I (0.112, 0.348, 0.032)
I (0.188, 0.578, 0.725)
I (0.275, 0.812, 0.422)
I (0.348, 0.032, 0.112)
I (0.422, 0.275, 0.812)
I (0.578, 0.725, 0.188)
I (0.652, 0.968, 0.888)
I (0.725, 0.188, 0.578)
I (0.812, 0.422, 0.275)
I (0.888, 0.652, 0.968)
I (0.968, 0.888, 0.652)

Main lines, by angle (10° ≤ 2θ ≤ 90°):
11.35 deg, d 7.794, I 24
25.31 deg, d 3.519, I 12
28.39 deg, d 3.144, I 13
29.49 deg, d 3.029, I 100
41.79 deg, d 2.162, I 35
42.60 deg, d 2.122, I 34
51.97 deg, d 1.759, I 17
61.20 deg, d 1.514, I 11
68.80 deg, d 1.365, I 12
69.96 deg, d 1.345, I 12

***

[2]
Simulated powder XRD pattern of ErAlRe for Cu Kα, from the PBE geometry in Alexandria.

Crystal structure
a b c (Å): 5.349 5.505 7.599
angles (deg): 90.00 90.00 90.00
Fractional coordinates of all 12 atoms:
Er (0.000, 0.250, 0.117)
Er (0.000, 0.750, 0.883)
Er (0.500, 0.250, 0.383)
Er (0.500, 0.750, 0.617)
Al (0.000, 0.000, 0.500)
Al (0.000, 0.500, 0.500)
Al (0.500, 0.000, 0.000)
Al (0.500, 0.500, 0.000)
Re (0.250, 0.250, 0.750)
Re (0.250, 0.750, 0.250)
Re (0.750, 0.250, 0.750)
Re (0.750, 0.750, 0.250)

Main lines, by angle (10° ≤ 2θ ≤ 90°):
20.30 deg, d 4.374, I 25
32.53 deg, d 2.753, I 45
33.19 deg, d 2.700, I 45
38.65 deg, d 2.330, I 25
39.15 deg, d 2.301, I 53
39.29 deg, d 2.293, I 100
41.28 deg, d 2.187, I 24
59.70 deg, d 1.549, I 24
62.56 deg, d 1.485, I 37
69.66 deg, d 1.350, I 27

***

[3]
Simulated powder XRD pattern of Sr2EuY for Cu Kα, from the PBE geometry in Alexandria.

Crystal structure
a b c (Å): 8.862 8.862 8.862
angles (deg): 90.00 90.00 90.00
Fractional coordinates of all 16 atoms:
Sr (0.250, 0.250, 0.250)
Sr (0.250, 0.250, 0.750)
Sr (0.250, 0.750, 0.250)
Sr (0.250, 0.750, 0.750)
Sr (0.750, 0.250, 0.250)
Sr (0.750, 0.250, 0.750)
Sr (0.750, 0.750, 0.250)
Sr (0.750, 0.750, 0.750)
Eu (0.000, 0.000, 0.000)
Eu (0.000, 0.500, 0.500)
Eu (0.500, 0.000, 0.500)
Eu (0.500, 0.500, 0.000)
Y (0.000, 0.000, 0.500)
Y (0.000, 0.500, 0.000)
Y (0.500, 0.000, 0.000)
Y (0.500, 0.500, 0.500)

Main lines, by angle (10° ≤ 2θ ≤ 90°):
17.33 deg, d 5.117, I 4
20.04 deg, d 4.431, I 3
28.49 deg, d 3.133, I 100
33.54 deg, d 2.672, I 3
40.73 deg, d 2.216, I 19
50.45 deg, d 1.809, I 40
58.96 deg, d 1.567, I 13
66.76 deg, d 1.401, I 17
74.13 deg, d 1.279, I 4
81.23 deg, d 1.184, I 20

***

[4]
Simulated powder XRD pattern of Pm7Sn2N2 for Cu Kα, from the PBE geometry in Alexandria.

Crystal structure
a b c (Å): 9.733 9.733 9.733
angles (deg): 159.34 68.31 115.71
Fractional coordinates of all 11 atoms:
Pm (0.000, 0.000, 0.000)
Pm (0.295, 0.431, 0.864)
Pm (0.311, 0.627, 0.684)
Pm (0.567, 0.431, 0.136)
Pm (0.629, 0.293, 0.336)
Pm (0.943, 0.627, 0.316)
Pm (0.958, 0.293, 0.664)
Sn (0.263, 0.763, 0.500)
Sn (0.681, 0.681, 0.000)
N (0.123, 0.853, 0.270)
N (0.583, 0.853, 0.730)

Main lines, by angle (10° ≤ 2θ ≤ 90°):
26.96 deg, d 3.307, I 24
29.19 deg, d 3.059, I 29
30.55 deg, d 2.926, I 21
30.79 deg, d 2.904, I 100
31.40 deg, d 2.849, I 35
33.37 deg, d 2.685, I 38
35.11 deg, d 2.556, I 57
35.23 deg, d 2.548, I 29
52.42 deg, d 1.745, I 20
62.05 deg, d 1.496, I 27

***

[5]
Simulated powder XRD pattern of Pm8HgIr5 for Cu Kα, from the PBE geometry in Alexandria.

Crystal structure
a b c (Å): 7.733 7.733 7.733
angles (deg): 109.01 109.01 110.41
Fractional coordinates of all 14 atoms:
Pm (0.247, 0.490, 0.103)
Pm (0.377, 0.131, 0.366)
Pm (0.387, 0.144, 0.897)
Pm (0.510, 0.613, 0.757)
Pm (0.766, 0.011, 0.634)
Pm (0.856, 0.753, 0.243)
Pm (0.869, 0.234, 0.245)
Pm (0.989, 0.623, 0.755)
Hg (0.250, 0.750, 0.500)
Ir (0.000, 0.000, 0.000)
Ir (0.131, 0.242, 0.620)
Ir (0.489, 0.869, 0.110)
Ir (0.622, 0.511, 0.380)
Ir (0.758, 0.378, 0.890)

Main lines, by angle (10° ≤ 2θ ≤ 90°):
31.53 deg, d 2.837, I 100
32.01 deg, d 2.796, I 47
37.52 deg, d 2.397, I 29
37.67 deg, d 2.388, I 30
37.91 deg, d 2.373, I 22
47.85 deg, d 1.901, I 14
51.96 deg, d 1.760, I 15
52.52 deg, d 1.742, I 13
63.98 deg, d 1.455, I 20
78.30 deg, d 1.221, I 14